CdPt: simulated powder XRD pattern (λ = 1.5418 Å (Cu Kα)), based on a PBE-relaxed structure.

Atomic structure:
```
data_CdPt
_chemical_formula_sum 'Cd4 Pt4'
_cell_length_a 4.116
_cell_length_b 4.116
_cell_length_c 8.349
_cell_angle_alpha 90.00
_cell_angle_beta 90.00
_cell_angle_gamma 90.00
_symmetry_space_group_name_H-M 'I 41/a m d'
_symmetry_Int_Tables_number 141
loop_
_symmetry_equiv_pos_as_xyz
'x,y,z'
'-x,-y,-z'
'-y+1/4,x+3/4,z+1/4'
'y+1/4,-x+3/4,-z+1/4'
'-x+1/2,-y,z+1/2'
'x+1/2,y,-z+1/2'
'y+1/4,-x+1/4,z+3/4'
'-y+1/4,x+1/4,-z+3/4'
'x,-y,-z'
'-x,y,z'
'-y+1/4,-x+1/4,-z+3/4'
'y+1/4,x+1/4,z+3/4'
'-x+1/2,y,-z+1/2'
'x+1/2,-y,z+1/2'
'y+1/4,x+3/4,-z+1/4'
'-y+1/4,-x+3/4,z+1/4'
'x+1/2,y+1/2,z+1/2'
'-x+1/2,-y+1/2,-z+1/2'
'-y+3/4,x+1/4,z+3/4'
'y+3/4,-x+1/4,-z+3/4'
'-x,-y+1/2,z'
'x,y+1/2,-z'
'y+3/4,-x+3/4,z+1/4'
'-y+3/4,x+3/4,-z+1/4'
'x+1/2,-y+1/2,-z+1/2'
'-x+1/2,y+1/2,z+1/2'
'-y+3/4,-x+3/4,-z+1/4'
'y+3/4,x+3/4,z+1/4'
'-x,y+1/2,-z'
'x,-y+1/2,z'
'y+3/4,x+1/4,-z+3/4'
'-y+3/4,-x+1/4,z+3/4'
loop_
_atom_site_label
_atom_site_fract_x
_atom_site_fract_y
_atom_site_fract_z
Cd1 0.000 0.250 0.375
Pt1 0.000 0.250 0.875
```

The 11 most intense peaks (2θ = 5–70°), in order of falling intensity:
2θ = 37.68°, rel. 100; 2θ = 44.00°, rel. 32; 2θ = 63.48°, rel. 21; 2θ = 43.35°, rel. 17; 2θ = 63.98°, rel. 10; 2θ = 24.11°, rel. 9; 2θ = 50.80°, rel. 3; 2θ = 39.07°, rel. 3; 2θ = 60.29°, rel. 2; 2θ = 59.77°, rel. 1; 2θ = 69.43°, rel. 1


KCd6As4: simulated powder XRD pattern (λ = 1.5418 Å (Cu Kα)), based on a PBE-relaxed structure.

Atomic structure:
```
data_KCd6As4
_chemical_formula_sum 'K2 Cd12 As8'
_cell_length_a 4.708
_cell_length_b 4.708
_cell_length_c 26.672
_cell_angle_alpha 90.00
_cell_angle_beta 90.00
_cell_angle_gamma 90.00
_symmetry_space_group_name_H-M 'I 4/m m m'
_symmetry_Int_Tables_number 139
_symmetry_space_group_name_Hall '-I 4 2'
loop_
_atom_site_label
_atom_site_fract_x
_atom_site_fract_y
_atom_site_fract_z
K1 0.000 0.000 0.000
Cd1 0.000 0.500 0.126
Cd2 0.000 0.500 0.250
As1 0.000 0.000 0.192
As2 0.000 0.000 0.429
```

The 12 most intense peaks (2θ = 5–70°), in order of falling intensity:
2θ = 38.21°, rel. 100; 2θ = 6.63°, rel. 43; 2θ = 69.07°, rel. 32; 2θ = 26.76°, rel. 19; 2θ = 55.15°, rel. 18; 2θ = 25.23°, rel. 17; 2θ = 27.62°, rel. 11; 2θ = 43.48°, rel. 9; 2θ = 13.28°, rel. 9; 2θ = 30.00°, rel. 9; 2θ = 62.33°, rel. 7; 2θ = 47.27°, rel. 7


Tl2PO3: simulated powder XRD pattern (λ = 1.5418 Å (Cu Kα)), based on a PBE-relaxed structure.

Atomic structure:
```
data_Tl2PO3
_chemical_formula_sum 'Tl16 P8 O24'
_cell_length_a 5.564
_cell_length_b 13.534
_cell_length_c 12.906
_cell_angle_alpha 90.00
_cell_angle_beta 90.00
_cell_angle_gamma 90.00
_symmetry_space_group_name_H-M 'P b c a'
_symmetry_Int_Tables_number 61
loop_
_symmetry_equiv_pos_as_xyz
'x,y,z'
'-x,-y,-z'
'-x+1/2,-y,z+1/2'
'x+1/2,y,-z+1/2'
'x+1/2,-y+1/2,-z'
'-x+1/2,y+1/2,z'
'-x,y+1/2,-z+1/2'
'x,-y+1/2,z+1/2'
loop_
_atom_site_label
_atom_site_fract_x
_atom_site_fract_y
_atom_site_fract_z
Tl1 0.002 0.069 0.151
Tl2 0.061 0.719 0.635
P1 0.021 0.564 0.946
O1 0.092 0.034 0.658
O2 0.110 0.154 0.506
O3 0.201 0.080 0.941
```

The 12 most intense peaks (2θ = 5–70°), in order of falling intensity:
2θ = 29.00°, rel. 100; 2θ = 27.02°, rel. 41; 2θ = 27.25°, rel. 26; 2θ = 27.65°, rel. 25; 2θ = 32.18°, rel. 20; 2θ = 18.56°, rel. 18; 2θ = 54.59°, rel. 16; 2θ = 44.13°, rel. 16; 2θ = 42.66°, rel. 14; 2θ = 55.66°, rel. 12; 2θ = 22.09°, rel. 12; 2θ = 42.93°, rel. 12


PrDySi2Pd5: simulated powder XRD pattern (λ = 1.5418 Å (Cu Kα)), based on a PBE-relaxed structure.

Atomic structure:
```
data_PrDySi2Pd5
_chemical_formula_sum 'Pr1 Dy1 Si2 Pd5'
_cell_length_a 4.230
_cell_length_b 4.230
_cell_length_c 9.041
_cell_angle_alpha 90.00
_cell_angle_beta 90.00
_cell_angle_gamma 90.00
_symmetry_space_group_name_H-M 'P 4/m m m'
_symmetry_Int_Tables_number 123
_symmetry_space_group_name_Hall '-P 4 2'
loop_
_atom_site_label
_atom_site_fract_x
_atom_site_fract_y
_atom_site_fract_z
Pr1 0.000 0.000 0.000
Dy1 0.000 0.000 0.500
Si1 0.500 0.500 0.370
Pd1 0.000 0.500 0.238
Pd2 0.500 0.500 0.000
```

The 12 most intense peaks (2θ = 5–70°), in order of falling intensity:
2θ = 36.01°, rel. 100; 2θ = 42.76°, rel. 36; 2θ = 59.90°, rel. 19; 2θ = 39.89°, rel. 16; 2θ = 69.90°, rel. 14; 2θ = 62.06°, rel. 12; 2θ = 28.91°, rel. 10; 2θ = 9.78°, rel. 5; 2θ = 21.00°, rel. 5; 2θ = 42.59°, rel. 5; 2θ = 45.50°, rel. 5; 2θ = 36.61°, rel. 4


CaAg2: simulated powder XRD pattern (λ = 1.5418 Å (Cu Kα)), based on a PBE-relaxed structure.

Atomic structure:
```
data_CaAg2
_chemical_formula_sum 'Ca4 Ag8'
_cell_length_a 7.068
_cell_length_b 7.068
_cell_length_c 7.068
_cell_angle_alpha 90.00
_cell_angle_beta 90.00
_cell_angle_gamma 90.00
_symmetry_space_group_name_H-M 'P a -3'
_symmetry_Int_Tables_number 205
_symmetry_space_group_name_Hall '-P 2ac 2ab 3'
loop_
_atom_site_label
_atom_site_fract_x
_atom_site_fract_y
_atom_site_fract_z
Ca1 0.000 0.000 0.000
Ag1 0.111 0.611 0.889
```

The 12 most intense peaks (2θ = 5–70°), in order of falling intensity:
2θ = 28.23°, rel. 100; 2θ = 30.99°, rel. 92; 2θ = 48.17°, rel. 58; 2θ = 46.32°, rel. 46; 2θ = 42.42°, rel. 37; 2θ = 25.20°, rel. 23; 2θ = 21.78°, rel. 21; 2θ = 69.05°, rel. 20; 2θ = 59.98°, rel. 19; 2θ = 51.74°, rel. 13; 2θ = 61.54°, rel. 9; 2θ = 35.94°, rel. 6


CaZrW3: simulated powder XRD pattern (λ = 1.5418 Å (Cu Kα)), based on a PBE-relaxed structure.

Atomic structure:
```
data_CaZrW3
_chemical_formula_sum 'Ca1 Zr1 W3'
_cell_length_a 4.920
_cell_length_b 4.920
_cell_length_c 4.920
_cell_angle_alpha 90.00
_cell_angle_beta 90.00
_cell_angle_gamma 90.00
_symmetry_space_group_name_H-M 'P m -3 m'
_symmetry_Int_Tables_number 221
_symmetry_space_group_name_Hall '-P 4 2 3'
loop_
_atom_site_label
_atom_site_fract_x
_atom_site_fract_y
_atom_site_fract_z
Ca1 0.000 0.000 0.000
Zr1 0.500 0.500 0.500
W1 0.000 0.500 0.500
```

The 12 most intense peaks (2θ = 5–70°), in order of falling intensity:
2θ = 31.49°, rel. 100; 2θ = 36.53°, rel. 96; 2θ = 52.61°, rel. 68; 2θ = 18.03°, rel. 65; 2θ = 62.62°, rel. 43; 2θ = 41.02°, rel. 33; 2θ = 65.75°, rel. 23; 2θ = 56.08°, rel. 17; 2θ = 68.80°, rel. 7; 2θ = 25.60°, rel. 2; 2θ = 45.14°, rel. 1; 2θ = 59.40°, rel. 1


- Number 6 is which compound?
  CaZrW3